This entry pairs a crystal structure of Dy2YTaO7 with its theoretical powder diffraction line list. Radiation: Cu Kα. Structure: DFT lattice parameters and positions (GGA-PBE).

Crystal structure
```
Dy2YTaO7
1.0
3.744 -5.282 0.000
3.744 5.282 0.000
0.000 0.000 7.522
Dy Y Ta O
4 2 2 14
direct
0.001 0.535 0.750
0.465 0.999 0.750
0.535 0.001 0.250
0.999 0.465 0.250
0.500 0.500 0.000
0.500 0.500 0.500
0.000 0.000 0.000
0.000 0.000 0.500
0.067 0.933 0.750
0.072 0.322 0.531
0.072 0.322 0.969
0.322 0.072 0.031
0.322 0.072 0.469
0.362 0.638 0.750
0.370 0.630 0.250
0.630 0.370 0.750
0.638 0.362 0.250
0.678 0.928 0.531
0.678 0.928 0.969
0.928 0.678 0.031
0.928 0.678 0.469
0.933 0.067 0.250
```

Top 10 peaks for 2θ from 10° to 90°, by angle:
| 2θ/deg | I_rel |
| --- | --- |
| 14.5 | 74 |
| 29.2 | 1000 |
| 33.8 | 236 |
| 33.9 | 105 |
| 48.4 | 85 |
| 48.6 | 357 |
| 57.6 | 149 |
| 57.7 | 131 |
| 57.8 | 119 |
| 78.7 | 71 |

---

This entry pairs a crystal structure of Na2U2O7 with its theoretical powder diffraction line list. Radiation: Cu Kα. Structure: DFT lattice parameters and positions (GGA-PBE).

Crystal structure
```
Na2U2O7
1.0
6.541 0.000 0.000
0.000 7.900 0.000
-2.429 0.000 6.458
Na U O
4 4 14
direct
0.000 0.000 0.000
0.000 0.500 0.000
0.014 0.250 0.494
0.986 0.750 0.506
0.493 0.250 0.966
0.500 0.000 0.500
0.500 0.500 0.500
0.507 0.750 0.034
0.188 0.250 0.865
0.193 0.526 0.410
0.193 0.974 0.410
0.199 0.750 0.913
0.458 0.250 0.618
0.467 0.045 0.174
0.467 0.455 0.174
0.533 0.545 0.826
0.533 0.955 0.826
0.542 0.750 0.382
0.801 0.250 0.087
0.807 0.026 0.590
0.807 0.474 0.590
0.812 0.750 0.135
```

Top 10 peaks for 2θ from 10° to 90°, by angle:
| 2θ/deg | I_rel |
| --- | --- |
| 14.5 | 1000 |
| 26.3 | 232 |
| 26.5 | 490 |
| 27.6 | 284 |
| 27.8 | 599 |
| 29.2 | 260 |
| 32.6 | 264 |
| 45.6 | 195 |
| 47.6 | 226 |
| 55.1 | 162 |

---

This entry pairs a crystal structure of Nb2AlC with its theoretical powder diffraction line list. Radiation: Cu Kα. Structure: DFT lattice parameters and positions (GGA-PBE).

Crystal structure
```
Nb2AlC
1.0
3.134 0.000 0.000
-1.567 2.714 0.000
0.000 0.000 13.899
Nb Al C
4 2 2
direct
0.333 0.667 0.089
0.333 0.667 0.411
0.667 0.333 0.589
0.667 0.333 0.911
0.333 0.667 0.750
0.667 0.333 0.250
0.000 0.000 0.000
0.000 0.000 0.500
```

Top 10 peaks for 2θ from 10° to 90°, by angle:
| 2θ/deg | I_rel |
| --- | --- |
| 12.7 | 336 |
| 33.0 | 209 |
| 33.6 | 171 |
| 38.4 | 1000 |
| 38.9 | 189 |
| 51.9 | 156 |
| 58.9 | 202 |
| 70.1 | 150 |
| 72.6 | 147 |
| 72.9 | 174 |

---

This entry pairs a crystal structure of Ho3Cu11Si4 with its theoretical powder diffraction line list. Radiation: Cu Kα. Structure: DFT lattice parameters and positions (GGA-PBE).

Crystal structure
```
Ho3Cu11Si4
1.0
8.400 0.000 0.000
-4.200 7.275 0.000
0.000 0.000 8.611
Ho Cu Si
6 22 8
direct
0.198 0.395 0.250
0.198 0.802 0.250
0.395 0.198 0.750
0.605 0.802 0.250
0.802 0.198 0.750
0.802 0.605 0.750
0.129 0.565 0.750
0.152 0.303 0.591
0.152 0.303 0.909
0.152 0.848 0.591
0.152 0.848 0.909
0.303 0.152 0.091
0.303 0.152 0.409
0.333 0.667 0.508
0.333 0.667 0.992
0.435 0.565 0.750
0.435 0.871 0.750
0.565 0.129 0.250
0.565 0.435 0.250
0.667 0.333 0.008
0.667 0.333 0.492
0.697 0.848 0.591
0.697 0.848 0.909
0.848 0.152 0.091
0.848 0.152 0.409
0.848 0.697 0.091
0.848 0.697 0.409
0.871 0.435 0.250
0.000 0.000 0.250
0.000 0.000 0.750
0.000 0.500 0.000
0.000 0.500 0.500
0.500 0.000 0.000
0.500 0.000 0.500
0.500 0.500 0.000
0.500 0.500 0.500
```

Top 10 peaks for 2θ from 10° to 90°, by angle:
| 2θ/deg | I_rel |
| --- | --- |
| 20.6 | 184 |
| 24.5 | 269 |
| 26.6 | 242 |
| 38.6 | 746 |
| 38.9 | 533 |
| 40.0 | 1000 |
| 42.8 | 173 |
| 43.1 | 608 |
| 45.7 | 227 |
| 68.0 | 186 |

---

This entry pairs a crystal structure of Eu2ZrSnO6 with its theoretical powder diffraction line list. Radiation: Cu Kα. Structure: DFT lattice parameters and positions (GGA-PBE).

Crystal structure
```
Eu2ZrSnO6
1.0
0.000 4.148 4.148
4.148 0.000 4.148
4.148 4.148 0.000
Eu Zr Sn O
2 1 1 6
direct
0.250 0.250 0.250
0.750 0.750 0.750
0.000 0.000 0.000
0.500 0.500 0.500
0.252 0.252 0.748
0.252 0.748 0.252
0.252 0.748 0.748
0.748 0.252 0.252
0.748 0.252 0.748
0.748 0.748 0.252
```

Top 10 peaks for 2θ from 10° to 90°, by angle:
| 2θ/deg | I_rel |
| --- | --- |
| 21.4 | 13 |
| 30.5 | 1000 |
| 37.6 | 58 |
| 43.6 | 298 |
| 54.2 | 407 |
| 63.4 | 186 |
| 72.0 | 179 |
| 76.1 | 16 |
| 80.2 | 63 |
| 88.1 | 222 |

---

This entry pairs a crystal structure of Ca10Si3S3O24F2 with its theoretical powder diffraction line list. Radiation: Cu Kα. Structure: DFT lattice parameters and positions (GGA-PBE).

Crystal structure
```
Ca10Si3S3O24F2
1.0
9.549 0.000 0.000
-4.774 8.269 0.000
0.000 0.000 6.988
Ca Si S O F
10 3 3 24 2
direct
0.000 0.000 0.223
0.000 0.000 0.777
0.084 0.430 0.500
0.084 0.658 0.000
0.342 0.425 0.000
0.346 0.916 0.500
0.570 0.654 0.500
0.575 0.916 0.000
0.667 0.333 0.226
0.667 0.333 0.774
0.359 0.057 0.000
0.698 0.641 0.000
0.943 0.302 0.000
0.301 0.261 0.500
0.739 0.040 0.500
0.960 0.699 0.500
0.028 0.190 0.000
0.067 0.749 0.329
0.067 0.749 0.671
0.161 0.972 0.000
0.210 0.080 0.500
0.251 0.318 0.329
0.251 0.318 0.671
0.421 0.002 0.192
0.421 0.002 0.808
0.454 0.257 0.000
0.478 0.322 0.500
0.581 0.579 0.192
0.581 0.579 0.808
0.678 0.157 0.500
0.682 0.933 0.329
0.682 0.933 0.671
0.743 0.197 0.000
0.803 0.546 0.000
0.810 0.839 0.000
0.843 0.522 0.500
0.870 0.790 0.500
0.920 0.130 0.500
0.998 0.419 0.192
0.998 0.419 0.808
0.333 0.667 0.000
0.333 0.667 0.500
```

Top 10 peaks for 2θ from 10° to 90°, by angle:
| 2θ/deg | I_rel |
| --- | --- |
| 25.5 | 377 |
| 31.4 | 1000 |
| 31.7 | 365 |
| 32.5 | 561 |
| 33.6 | 252 |
| 39.3 | 193 |
| 46.0 | 273 |
| 48.8 | 367 |
| 49.8 | 173 |
| 52.4 | 176 |

---

This entry pairs a crystal structure of Mg14NbCu with its theoretical powder diffraction line list. Radiation: Cu Kα. Structure: DFT lattice parameters and positions (GGA-PBE).

Crystal structure
```
Mg14NbCu
1.0
6.289 0.000 0.000
-3.145 5.447 0.000
0.000 0.000 9.897
Mg Nb Cu
14 1 1
direct
0.000 0.000 0.247
0.000 0.000 0.753
0.014 0.507 0.252
0.014 0.507 0.748
0.332 0.166 0.500
0.338 0.169 0.000
0.493 0.507 0.252
0.493 0.507 0.748
0.493 0.986 0.252
0.493 0.986 0.748
0.831 0.169 0.000
0.831 0.662 0.000
0.834 0.166 0.500
0.834 0.668 0.500
0.333 0.667 0.000
0.333 0.667 0.500
```

Top 10 peaks for 2θ from 10° to 90°, by angle:
| 2θ/deg | I_rel |
| --- | --- |
| 16.3 | 288 |
| 24.3 | 169 |
| 32.9 | 275 |
| 36.3 | 245 |
| 37.7 | 1000 |
| 49.8 | 164 |
| 58.7 | 169 |
| 66.2 | 176 |
| 71.0 | 183 |
| 71.9 | 134 |

---

This entry pairs a crystal structure of Al5Re24 with its theoretical powder diffraction line list. Radiation: Cu Kα. Structure: DFT lattice parameters and positions (GGA-PBE).

Crystal structure
```
Al5Re24
1.0
-4.814 4.814 4.814
4.814 -4.814 4.814
4.814 4.814 -4.814
Al Re
5 24
direct
0.000 0.000 0.000
0.000 0.000 0.641
0.000 0.641 0.000
0.359 0.359 0.359
0.641 0.000 0.000
0.000 0.192 0.375
0.000 0.375 0.192
0.000 0.399 0.680
0.000 0.680 0.399
0.183 0.808 0.808
0.192 0.000 0.375
0.192 0.375 0.000
0.282 0.601 0.601
0.320 0.320 0.718
0.320 0.718 0.320
0.375 0.000 0.192
0.375 0.192 0.000
0.399 0.000 0.680
0.399 0.680 0.000
0.601 0.282 0.601
0.601 0.601 0.282
0.625 0.625 0.817
0.625 0.817 0.625
0.680 0.000 0.399
0.680 0.399 0.000
0.718 0.320 0.320
0.808 0.183 0.808
0.808 0.808 0.183
0.817 0.625 0.625
```

Top 10 peaks for 2θ from 10° to 90°, by angle:
| 2θ/deg | I_rel |
| --- | --- |
| 13.0 | 123 |
| 22.6 | 207 |
| 26.2 | 95 |
| 37.4 | 116 |
| 39.7 | 1000 |
| 44.1 | 441 |
| 48.2 | 448 |
| 72.1 | 301 |
| 73.6 | 140 |
| 85.6 | 138 |